Simulated powder diffractogram of TmPPt for copper Kα, from a cell relaxed with GGA-PBE.

Crystal structure
```
data_TmPPt
_chemical_formula_sum 'Tm1 P1 Pt1'
_cell_length_a 4.1162
_cell_length_b 4.1162
_cell_length_c 3.8134
_cell_angle_alpha 90.00
_cell_angle_beta 90.00
_cell_angle_gamma 120.00
_space_group_name_H-M_alt 'P -6 m 2'
_space_group_IT_number 187
_space_group_name_Hall 'P -6 2'
loop_
_atom_site_label
_atom_site_type_symbol
_atom_site_fract_x
_atom_site_fract_y
_atom_site_fract_z
Tm1 Tm 0.0000 0.0000 0.0000
P1 P 0.6667 0.3333 0.5000
Pt1 Pt 0.3333 0.6667 0.5000
```

Largest 10 diffraction maxima, by angle, 10 to 90 degrees two-theta:
24.98°, d 3.565, I = 26, (1 0 0)
34.44°, d 2.604, I = 100, (1 0 1)
44.00°, d 2.058, I = 40, (1 1 0)
47.70°, d 1.907, I = 10, (0 0 2)
54.58°, d 1.681, I = 7, (1 0 2)
57.04°, d 1.615, I = 24, (2 0 1)
66.89°, d 1.399, I = 23, (1 1 2)
74.72°, d 1.270, I = 22, (2 1 1)
80.17°, d 1.197, I = 9, (1 0 3)
80.90°, d 1.188, I = 7, (3 0 0)


Simulated powder diffractogram of YPPt for copper Kα, from a cell relaxed with GGA-PBE.

Crystal structure
```
data_YPPt
_chemical_formula_sum 'Y1 P1 Pt1'
_cell_length_a 4.1323
_cell_length_b 4.1323
_cell_length_c 3.9149
_cell_angle_alpha 90.00
_cell_angle_beta 90.00
_cell_angle_gamma 120.00
_space_group_name_H-M_alt 'P -6 m 2'
_space_group_IT_number 187
_space_group_name_Hall 'P -6 2'
loop_
_atom_site_label
_atom_site_type_symbol
_atom_site_fract_x
_atom_site_fract_y
_atom_site_fract_z
Y1 Y 0.0000 0.0000 0.0000
P1 P 0.6667 0.3333 0.5000
Pt1 Pt 0.3333 0.6667 0.5000
```

Largest 10 diffraction maxima, by angle, 10 to 90 degrees two-theta:
22.71°, d 3.915, I = 13, (0 0 1)
24.88°, d 3.579, I = 35, (1 0 0)
33.94°, d 2.641, I = 100, (1 0 1)
43.82°, d 2.066, I = 40, (1 1 0)
46.39°, d 1.957, I = 11, (0 0 2)
49.91°, d 1.827, I = 10, (1 1 1)
53.35°, d 1.717, I = 10, (1 0 2)
56.55°, d 1.627, I = 23, (2 0 1)
65.71°, d 1.421, I = 24, (1 1 2)
74.17°, d 1.278, I = 21, (2 1 1)


Simulated powder diffractogram of Rb2P3 for copper Kα, from a cell relaxed with GGA-PBE.

Crystal structure
```
data_Rb2P3
_chemical_formula_sum 'Rb16 P24'
_cell_length_a 9.094
_cell_length_b 9.794
_cell_length_c 14.884
_cell_angle_alpha 90.00
_cell_angle_beta 90.00
_cell_angle_gamma 90.00
_space_group_name_H-M_alt 'F m m m'
_space_group_IT_number 69
_space_group_name_Hall '-F 2 2'
loop_
_atom_site_label
_atom_site_type_symbol
_atom_site_fract_x
_atom_site_fract_y
_atom_site_fract_z
Rb1 Rb 0.000 0.223 0.000
Rb2 Rb 0.250 0.250 0.250
P1 P 0.000 0.000 0.353
P2 P 0.206 0.000 0.427
```

Largest 10 diffraction maxima, by angle, 10 to 90 degrees two-theta:
22.92°, d 3.880, I = 37, (2 0 2)
23.91°, d 3.721, I = 16, (0 0 4)
29.37°, d 3.041, I = 100, (2 2 2)
29.69°, d 3.009, I = 13, (1 3 1)
30.16°, d 2.963, I = 47, (0 2 4)
36.70°, d 2.449, I = 19, (0 4 0)
39.64°, d 2.273, I = 13, (4 0 0)
41.47°, d 2.178, I = 26, (2 0 6)
50.61°, d 1.804, I = 19, (4 2 4)
56.56°, d 1.627, I = 17, (2 4 6)


Simulated powder diffractogram of RbP15 for copper Kα, from a cell relaxed with GGA-PBE.

Crystal structure
```
data_RbP15
_chemical_formula_sum 'Rb2 P30'
_cell_length_a 7.609
_cell_length_b 9.503
_cell_length_c 12.888
_cell_angle_alpha 88.42
_cell_angle_beta 78.46
_cell_angle_gamma 68.33
_space_group_name_H-M_alt 'P -1'
_space_group_IT_number 2
_space_group_name_Hall '-P 1'
loop_
_atom_site_label
_atom_site_type_symbol
_atom_site_fract_x
_atom_site_fract_y
_atom_site_fract_z
Rb1 Rb 0.215 0.290 0.498
P1 P 0.007 0.161 0.095
P2 P 0.011 0.068 0.689
P3 P 0.039 0.608 0.844
P4 P 0.121 0.738 0.195
P5 P 0.126 0.606 0.674
P6 P 0.199 0.910 0.784
P7 P 0.242 0.002 0.305
P8 P 0.294 0.037 0.131
P9 P 0.297 0.621 0.311
P10 P 0.313 0.517 0.906
P11 P 0.334 0.809 0.071
P12 P 0.337 0.708 0.670
P13 P 0.397 0.273 0.868
P14 P 0.479 0.763 0.306
P15 P 0.480 0.412 0.215
```

Largest 10 diffraction maxima, by angle, 10 to 90 degrees two-theta:
14.04°, d 6.306, I = 32, (0 0 2)
15.76°, d 5.624, I = 62, (1 1 -1)
17.55°, d 5.053, I = 100, (1 1 2)
21.71°, d 4.093, I = 21, (0 2 1)
26.67°, d 3.342, I = 58, (1 1 -3)
28.23°, d 3.161, I = 51, (2 2 -1)
31.59°, d 2.832, I = 30, (0 3 1)
31.67°, d 2.826, I = 26, (2 -1 2)
34.31°, d 2.614, I = 24, (2 -1 3)
35.59°, d 2.522, I = 21, (0 0 5)


Simulated powder diffractogram of RbP11 for copper Kα, from a cell relaxed with GGA-PBE.

Crystal structure
```
data_RbP11
_chemical_formula_sum 'Rb4 P44'
_cell_length_a 6.868
_cell_length_b 9.796
_cell_length_c 18.764
_cell_angle_alpha 90.00
_cell_angle_beta 93.85
_cell_angle_gamma 90.00
_space_group_name_H-M_alt 'P 1 21/m 1'
_space_group_IT_number 11
_space_group_name_Hall '-P 2yb'
loop_
_atom_site_label
_atom_site_type_symbol
_atom_site_fract_x
_atom_site_fract_y
_atom_site_fract_z
Rb1 Rb 0.070 0.025 0.172
P1 P 0.130 0.750 0.607
P2 P 0.156 0.096 0.586
P3 P 0.204 0.750 0.720
P4 P 0.223 0.133 0.703
P5 P 0.249 0.750 0.964
P6 P 0.262 0.750 0.080
P7 P 0.313 0.090 0.977
P8 P 0.319 0.589 0.561
P9 P 0.353 0.250 0.543
P10 P 0.377 0.750 0.376
P11 P 0.415 0.087 0.362
P12 P 0.423 0.250 0.905
P13 P 0.454 0.595 0.297
P14 P 0.456 0.590 0.930
P15 P 0.482 0.250 0.283
```

Largest 10 diffraction maxima, by angle, 10 to 90 degrees two-theta:
12.92°, d 6.852, I = 21, (1 0 0)
16.54°, d 5.360, I = 51, (1 0 2)
18.58°, d 4.776, I = 100, (1 0 -3)
23.08°, d 3.854, I = 24, (0 2 3)
26.06°, d 3.420, I = 40, (1 2 -3)
27.91°, d 3.197, I = 64, (1 0 5)
28.33°, d 3.150, I = 56, (2 0 2)
30.90°, d 2.894, I = 21, (0 3 3)
31.94°, d 2.802, I = 27, (2 2 -1)
33.23°, d 2.696, I = 57, (1 3 -3)


Simulated powder diffractogram of RbP2Rh2 for copper Kα, from a cell relaxed with GGA-PBE.

Crystal structure
```
data_RbP2Rh2
_chemical_formula_sum 'Rb2 P4 Rh4'
_cell_length_a 3.958
_cell_length_b 3.958
_cell_length_c 13.794
_cell_angle_alpha 90.00
_cell_angle_beta 90.00
_cell_angle_gamma 90.00
_space_group_name_H-M_alt 'I 4/m m m'
_space_group_IT_number 139
_space_group_name_Hall '-I 4 2'
loop_
_atom_site_label
_atom_site_type_symbol
_atom_site_fract_x
_atom_site_fract_y
_atom_site_fract_z
Rb1 Rb 0.000 0.000 0.000
P1 P 0.000 0.000 0.342
Rh1 Rh 0.000 0.500 0.250
```

Largest 10 diffraction maxima, by angle, 10 to 90 degrees two-theta:
12.84°, d 6.897, I = 88, (0 0 2)
25.83°, d 3.449, I = 47, (0 0 4)
29.78°, d 3.000, I = 44, (1 0 3)
34.59°, d 2.593, I = 100, (1 1 2)
41.56°, d 2.173, I = 22, (1 1 4)
45.85°, d 1.979, I = 38, (2 0 0)
51.44°, d 1.776, I = 53, (1 1 6)
53.38°, d 1.716, I = 25, (2 0 4)
77.51°, d 1.231, I = 19, (3 1 2)
89.06°, d 1.099, I = 23, (3 1 6)


Simulated powder diffractogram of RbP2Ru2 for copper Kα, from a cell relaxed with GGA-PBE.

Crystal structure
```
data_RbP2Ru2
_chemical_formula_sum 'Rb2 P4 Ru4'
_cell_length_a 4.074
_cell_length_b 4.074
_cell_length_c 13.159
_cell_angle_alpha 90.00
_cell_angle_beta 90.00
_cell_angle_gamma 90.00
_space_group_name_H-M_alt 'I 4/m m m'
_space_group_IT_number 139
_space_group_name_Hall '-I 4 2'
loop_
_atom_site_label
_atom_site_type_symbol
_atom_site_fract_x
_atom_site_fract_y
_atom_site_fract_z
Rb1 Rb 0.000 0.000 0.000
P1 P 0.000 0.000 0.334
Ru1 Ru 0.000 0.500 0.250
```

Largest 10 diffraction maxima, by angle, 10 to 90 degrees two-theta:
13.46°, d 6.580, I = 83, (0 0 2)
27.10°, d 3.290, I = 45, (0 0 4)
29.93°, d 2.985, I = 45, (1 0 3)
33.97°, d 2.639, I = 100, (1 1 2)
41.67°, d 2.167, I = 19, (1 1 4)
44.48°, d 2.037, I = 42, (2 0 0)
52.44°, d 1.745, I = 51, (1 1 6)
52.86°, d 1.732, I = 28, (2 0 4)
75.15°, d 1.264, I = 19, (3 1 2)
87.90°, d 1.111, I = 24, (3 1 6)


Simulated powder diffractogram of Rb3SmP2S8 for copper Kα, from a cell relaxed with GGA-PBE.

Crystal structure
```
data_Rb3SmP2S8
_chemical_formula_sum 'Rb6 Sm2 P4 S16'
_cell_length_a 9.894
_cell_length_b 6.896
_cell_length_c 11.824
_cell_angle_alpha 90.00
_cell_angle_beta 90.67
_cell_angle_gamma 90.00
_space_group_name_H-M_alt 'P 1 21 1'
_space_group_IT_number 4
_space_group_name_Hall 'P 2yb'
loop_
_atom_site_label
_atom_site_type_symbol
_atom_site_fract_x
_atom_site_fract_y
_atom_site_fract_z
Rb1 Rb 0.108 0.000 0.350
Rb2 Rb 0.144 0.494 0.097
Rb3 Rb 0.326 0.499 0.586
Sm1 Sm 0.384 0.978 0.853
P1 P 0.127 0.000 0.692
P2 P 0.415 0.022 0.154
S1 S 0.053 0.506 0.391
S2 S 0.145 0.755 0.793
S3 S 0.153 0.234 0.798
S4 S 0.238 0.997 0.062
S5 S 0.298 0.997 0.595
S6 S 0.410 0.256 0.261
S7 S 0.435 0.586 0.960
S8 S 0.447 0.777 0.249
```

Largest 10 diffraction maxima, by angle, 10 to 90 degrees two-theta:
11.59°, d 7.632, I = 79, (1 0 -1)
19.78°, d 4.488, I = 95, (0 1 2)
23.31°, d 3.817, I = 73, (2 1 -1)
23.44°, d 3.795, I = 72, (2 1 1)
25.84°, d 3.448, I = 100, (0 2 0)
28.80°, d 3.100, I = 63, (2 0 -3)
31.66°, d 2.826, I = 96, (2 1 -3)
32.50°, d 2.755, I = 77, (2 2 -1)
32.60°, d 2.747, I = 60, (2 2 1)
40.19°, d 2.244, I = 65, (0 2 4)